The following is a theoretical XRD peak list of ZnCoIrAu. It was derived from a DFT-relaxed cell (PBE, OQMD), using copper Kα.
No peak broadening, texture or thermal motion is included.

Atomic structure:
a b c (Å): 6.176 6.176 6.176
angles (deg): 90.00 90.00 90.00
Space group F-43m (No. 216)
Unique sites:
Zn (0.000, 0.000, 0.000) x4
Co (0.250, 0.250, 0.250) x4
Ir (0.000, 0.000, 0.500) x4
Au (0.250, 0.250, 0.750) x4

The 6 most intense peaks (2θ from 15° to 90°), in order of falling intensity:
2θ = 41.3°, intensity 100, hkl 2 2 0
2θ = 75.4°, intensity 34, hkl 4 2 2
2θ = 25.0°, intensity 29, hkl 1 1 1
2θ = 59.9°, intensity 17, hkl 4 0 0
2θ = 48.9°, intensity 15, hkl 3 1 1
2θ = 89.8°, intensity 11, hkl 4 4 0

---

The following is a theoretical XRD peak list of Dy5ScBi2Os. It was derived from a DFT-relaxed cell (PBE, OQMD), using copper Kα.
No peak broadening, texture or thermal motion is included.

Atomic structure:
a b c (Å): 4.223 14.158 8.243
angles (deg): 90.00 90.00 90.00
Space group Amm2 (No. 38)
Unique sites:
Dy (0.000, 0.000, 0.000) x2
Dy (0.000, 0.192, 0.407) x4
Dy (0.500, 0.114, 0.716) x4
Sc (0.500, 0.000, 0.368) x2
Bi (0.500, 0.164, 0.104) x4
Os (0.000, 0.000, 0.576) x2

The 6 most intense peaks (2θ from 15° to 90°), in order of falling intensity:
2θ = 30.3°, intensity 100, hkl 1 0 2
2θ = 30.4°, intensity 93, hkl 1 3 1
2θ = 32.9°, intensity 92, hkl 1 2 2
2θ = 33.0°, intensity 83, hkl 1 4 0
2θ = 39.8°, intensity 75, hkl 1 5 1
2θ = 37.9°, intensity 72, hkl 0 3 3

---

The following is a theoretical XRD peak list of Zn2TeSeO7. It was derived from a DFT-relaxed cell (PBE, OQMD), using copper Kα.
No peak broadening, texture or thermal motion is included.

Atomic structure:
a b c (Å): 5.168 8.083 7.134
angles (deg): 90.00 101.01 90.00
Space group P2_1 (No. 4)
Unique sites:
Zn (0.012, 0.000, 0.247) x2
Zn (0.463, 0.197, 0.022) x2
Te (0.007, 0.922, 0.823) x2
Se (0.460, 0.295, 0.570) x2
O (0.179, 0.713, 0.843) x2
O (0.216, 0.383, 0.998) x2
O (0.227, 0.843, 0.440) x2
O (0.255, 0.999, 0.044) x2
O (0.295, 0.465, 0.608) x2
O (0.307, 0.223, 0.355) x2
O (0.456, 0.146, 0.734) x2

The 6 most intense peaks (2θ from 15° to 90°), in order of falling intensity:
2θ = 28.2°, intensity 100, hkl 1 2 0
2θ = 27.8°, intensity 39, hkl 0 1 2
2θ = 28.1°, intensity 37, hkl 1 0 -2
2θ = 33.9°, intensity 26, hkl 0 2 2
2θ = 33.8°, intensity 23, hkl 1 0 2
2θ = 22.5°, intensity 22, hkl 1 1 -1

---

The following is a theoretical XRD peak list of NdAl3Pt. It was derived from a DFT-relaxed cell (PBE, OQMD), using copper Kα.
No peak broadening, texture or thermal motion is included.

Atomic structure:
a b c (Å): 4.335 4.335 10.681
angles (deg): 90.00 90.00 90.00
Space group I4mm (No. 107)
Unique sites:
Nd (0.000, 0.000, 0.000) x2
Al (0.000, 0.000, 0.413) x2
Al (0.000, 0.500, 0.256) x4
Pt (0.000, 0.000, 0.642) x2

The 6 most intense peaks (2θ from 15° to 90°), in order of falling intensity:
2θ = 32.5°, intensity 100, hkl 1 0 3
2θ = 29.1°, intensity 61, hkl 1 1 0
2θ = 33.7°, intensity 50, hkl 1 1 2
2θ = 53.8°, intensity 49, hkl 2 1 3
2θ = 22.1°, intensity 45, hkl 1 0 1
2θ = 41.7°, intensity 42, hkl 2 0 0

---

The following is a theoretical XRD peak list of Sm3Zn22. It was derived from a DFT-relaxed cell (PBE, OQMD), using copper Kα.
No peak broadening, texture or thermal motion is included.

Atomic structure:
a b c (Å): 8.813 8.813 21.095
angles (deg): 90.00 90.00 90.00
Space group I4_1/amd (No. 141, origin choice 2)
Unique sites:
Sm (0.000, 0.250, 0.254) x8
Sm (0.000, 0.250, 0.875) x4
Zn (0.000, 0.000, 0.000) x8
Zn (0.000, 0.029, 0.376) x16
Zn (0.000, 0.097, 0.738) x16
Zn (0.000, 0.102, 0.118) x16
Zn (0.231, 0.009, 0.189) x32

The 6 most intense peaks (2θ from 15° to 90°), in order of falling intensity:
2θ = 39.8°, intensity 100, hkl 2 0 8
2θ = 39.0°, intensity 96, hkl 3 2 3
2θ = 41.0°, intensity 67, hkl 4 0 0
2θ = 37.3°, intensity 34, hkl 3 0 5
2θ = 42.8°, intensity 32, hkl 3 2 5
2θ = 31.1°, intensity 23, hkl 2 1 5

---

The following is a theoretical XRD peak list of Rb2PaF7. It was derived from a DFT-relaxed cell (PBE, OQMD), using copper Kα.
No peak broadening, texture or thermal motion is included.

Atomic structure:
a b c (Å): 13.677 6.740 8.048
angles (deg): 90.00 125.20 90.00
Space group C2/c (No. 15)
Unique sites:
Rb (0.171, 0.009, 0.113) x8
Pa (0.000, 0.476, 0.250) x4
F (0.000, 0.147, 0.250) x4
F (0.077, 0.367, 0.080) x8
F (0.114, 0.276, 0.791) x8
F (0.177, 0.380, 0.493) x8

The 6 most intense peaks (2θ from 15° to 90°), in order of falling intensity:
2θ = 27.4°, intensity 100, hkl 3 1 0
2θ = 26.9°, intensity 99, hkl 1 1 -2
2θ = 15.4°, intensity 89, hkl 1 1 0
2θ = 38.5°, intensity 53, hkl 4 2 -2
2θ = 27.5°, intensity 53, hkl 4 0 -2
2θ = 26.4°, intensity 51, hkl 0 2 0